1.
Computed X-ray diffraction stick pattern of Sm2UAl2Ru5 for copper Kα, from the GGA-PBE geometry in Alexandria.
No peak broadening, texture or thermal motion is included.

The 10 most intense peaks (10 to 90 degrees two-theta), most intense first:
- 2θ = 38.4°, intensity 100.0
- 2θ = 36.1°, intensity 37.8
- 2θ = 32.8°, intensity 29.1
- 2θ = 36.3°, intensity 26.6
- 2θ = 39.3°, intensity 24.1
- 2θ = 12.2°, intensity 19.0
- 2θ = 54.0°, intensity 13.7
- 2θ = 41.4°, intensity 13.0
- 2θ = 66.7°, intensity 12.3
- 2θ = 70.7°, intensity 12.2

Structure:
a b c (Å): 10.2493 10.2493 3.3950
angles (deg): 90.00 90.00 90.00
Positions (direct):
Sm (0.1698, 0.3302, 0.0000)
Sm (0.3302, 0.8302, 0.0000)
Sm (0.6698, 0.1698, 0.0000)
Sm (0.8302, 0.6698, 0.0000)
U (0.0000, 0.0000, 0.0000)
U (0.5000, 0.5000, 0.0000)
Al (0.1269, 0.6269, 0.0000)
Al (0.3731, 0.1269, 0.0000)
Al (0.6269, 0.8731, 0.0000)
Al (0.8731, 0.3731, 0.0000)
Ru (0.0000, 0.5000, 0.5000)
Ru (0.0669, 0.8013, 0.5000)
Ru (0.1987, 0.0669, 0.5000)
Ru (0.3013, 0.5669, 0.5000)
Ru (0.4331, 0.3013, 0.5000)
Ru (0.5000, 0.0000, 0.5000)
Ru (0.5669, 0.6987, 0.5000)
Ru (0.6987, 0.4331, 0.5000)
Ru (0.8013, 0.9331, 0.5000)
Ru (0.9331, 0.1987, 0.5000)



2.
Computed X-ray diffraction stick pattern of Ce5Dy3Se8 for copper Kα, from the GGA-PBE geometry in Alexandria.
No peak broadening, texture or thermal motion is included.

The 10 most intense peaks (10 to 90 degrees two-theta), most intense first:
- 2θ = 30.4°, intensity 100.0
- 2θ = 43.5°, intensity 37.2
- 2θ = 43.7°, intensity 36.9
- 2θ = 54.2°, intensity 19.5
- 2θ = 72.0°, intensity 16.5
- 2θ = 71.7°, intensity 16.5
- 2θ = 26.3°, intensity 12.6
- 2θ = 80.1°, intensity 12.4
- 2θ = 63.3°, intensity 12.1
- 2θ = 53.8°, intensity 6.5

Structure:
a b c (Å): 8.3273 8.3273 8.3273
angles (deg): 59.68 59.68 59.68
Positions (direct):
Ce (0.0000, 0.0000, 0.0000)
Ce (0.0000, 0.5000, 0.5000)
Ce (0.5000, 0.0000, 0.5000)
Ce (0.5000, 0.5000, 0.0000)
Ce (0.5000, 0.5000, 0.5000)
Dy (0.0000, 0.0000, 0.5000)
Dy (0.0000, 0.5000, 0.0000)
Dy (0.5000, 0.0000, 0.0000)
Se (0.2420, 0.7499, 0.7499)
Se (0.2462, 0.2462, 0.2462)
Se (0.2501, 0.2501, 0.7580)
Se (0.2501, 0.7580, 0.2501)
Se (0.7499, 0.2420, 0.7499)
Se (0.7499, 0.7499, 0.2420)
Se (0.7538, 0.7538, 0.7538)
Se (0.7580, 0.2501, 0.2501)



3.
Computed X-ray diffraction stick pattern of Li2PrDyGe2 for copper Kα, from the GGA-PBE geometry in Alexandria.
No peak broadening, texture or thermal motion is included.

The 10 most intense peaks (10 to 90 degrees two-theta), most intense first:
- 2θ = 33.5°, intensity 100.0
- 2θ = 40.4°, intensity 44.1
- 2θ = 23.0°, intensity 43.5
- 2θ = 53.5°, intensity 26.5
- 2θ = 69.1°, intensity 24.4
- 2θ = 65.5°, intensity 19.9
- 2θ = 26.0°, intensity 19.8
- 2θ = 55.0°, intensity 9.0
- 2θ = 81.9°, intensity 8.0
- 2θ = 49.2°, intensity 7.9

Structure:
a b c (Å): 4.4653 4.4653 7.4069
angles (deg): 90.00 90.00 120.00
Positions (direct):
Li (0.3333, 0.6667, 0.2180)
Li (0.6667, 0.3333, 0.7820)
Pr (0.0000, 0.0000, 0.5000)
Dy (0.0000, 0.0000, 0.0000)
Ge (0.3333, 0.6667, 0.7640)
Ge (0.6667, 0.3333, 0.2360)



4.
Computed X-ray diffraction stick pattern of Sm5Ge3 for copper Kα, from the GGA-PBE geometry in Alexandria.
No peak broadening, texture or thermal motion is included.

The 10 most intense peaks (10 to 90 degrees two-theta), most intense first:
- 2θ = 35.0°, intensity 100.0
- 2θ = 34.9°, intensity 85.3
- 2θ = 28.1°, intensity 75.2
- 2θ = 31.2°, intensity 73.8
- 2θ = 32.6°, intensity 55.9
- 2θ = 48.9°, intensity 37.0
- 2θ = 28.5°, intensity 34.1
- 2θ = 56.6°, intensity 33.3
- 2θ = 31.6°, intensity 32.3
- 2θ = 71.6°, intensity 24.2

Structure:
a b c (Å): 11.5052 11.5052 6.5014
angles (deg): 90.00 90.00 90.00
Positions (direct):
Sm (0.0371, 0.1634, 0.1451)
Sm (0.0371, 0.3366, 0.6451)
Sm (0.1634, 0.0371, 0.6451)
Sm (0.1634, 0.4629, 0.1451)
Sm (0.2500, 0.7500, 0.0000)
Sm (0.2500, 0.7500, 0.5000)
Sm (0.3366, 0.0371, 0.1451)
Sm (0.3366, 0.4629, 0.6451)
Sm (0.4629, 0.1634, 0.6451)
Sm (0.4629, 0.3366, 0.1451)
Sm (0.5371, 0.6634, 0.8549)
Sm (0.5371, 0.8366, 0.3549)
Sm (0.6634, 0.5371, 0.3549)
Sm (0.6634, 0.9629, 0.8549)
Sm (0.7500, 0.2500, 0.0000)
Sm (0.7500, 0.2500, 0.5000)
Sm (0.8366, 0.5371, 0.8549)
Sm (0.8366, 0.9629, 0.3549)
Sm (0.9629, 0.6634, 0.3549)
Sm (0.9629, 0.8366, 0.8549)
Ge (0.0903, 0.5903, 0.7500)
Ge (0.0903, 0.9097, 0.2500)
Ge (0.2500, 0.2500, 0.4017)
Ge (0.2500, 0.2500, 0.9017)
Ge (0.4097, 0.5903, 0.2500)
Ge (0.4097, 0.9097, 0.7500)
Ge (0.5903, 0.0903, 0.2500)
Ge (0.5903, 0.4097, 0.7500)
Ge (0.7500, 0.7500, 0.0983)
Ge (0.7500, 0.7500, 0.5983)
Ge (0.9097, 0.0903, 0.7500)
Ge (0.9097, 0.4097, 0.2500)



5.
Computed X-ray diffraction stick pattern of Na5PS4F2 for copper Kα, from the GGA-PBE geometry in Alexandria.
No peak broadening, texture or thermal motion is included.

The 10 most intense peaks (10 to 90 degrees two-theta), most intense first:
- 2θ = 29.4°, intensity 100.0
- 2θ = 41.5°, intensity 93.2
- 2θ = 28.7°, intensity 87.3
- 2θ = 16.4°, intensity 48.4
- 2θ = 37.8°, intensity 31.6
- 2θ = 20.4°, intensity 26.8
- 2θ = 51.2°, intensity 25.9
- 2θ = 33.2°, intensity 25.2
- 2θ = 49.5°, intensity 21.1
- 2θ = 58.2°, intensity 15.4

Structure:
a b c (Å): 7.3638 6.2280 6.2280
angles (deg): 119.84 90.00 90.00
Positions (direct):
Na (0.0000, 0.0000, 0.0000)
Na (0.2188, 0.3976, 0.8208)
Na (0.2188, 0.8208, 0.3976)
Na (0.7812, 0.3976, 0.8208)
Na (0.7812, 0.8208, 0.3976)
P (0.5000, 0.1252, 0.1252)
S (0.2682, 0.3120, 0.3120)
S (0.5000, 0.0823, 0.7757)
S (0.5000, 0.7757, 0.0823)
S (0.7318, 0.3120, 0.3120)
F (0.0000, 0.0615, 0.6738)
F (0.0000, 0.6738, 0.0615)



6.
Computed X-ray diffraction stick pattern of NaScPa2O8 for copper Kα, from the GGA-PBE geometry in Alexandria.
No peak broadening, texture or thermal motion is included.

The 10 most intense peaks (10 to 90 degrees two-theta), most intense first:
- 2θ = 21.6°, intensity 100.0
- 2θ = 28.0°, intensity 45.9
- 2θ = 46.0°, intensity 30.3
- 2θ = 35.7°, intensity 15.6
- 2θ = 33.3°, intensity 15.2
- 2θ = 53.0°, intensity 13.7
- 2θ = 47.2°, intensity 13.4
- 2θ = 62.6°, intensity 13.4
- 2θ = 40.7°, intensity 13.2
- 2θ = 44.1°, intensity 12.2

Structure:
a b c (Å): 6.3636 6.3636 6.1716
angles (deg): 90.00 90.00 120.00
Positions (direct):
Na (0.0000, 0.0000, 0.0000)
Sc (0.0000, 0.0000, 0.5000)
Pa (0.3333, 0.6667, 0.2248)
Pa (0.6667, 0.3333, 0.7752)
O (0.1497, 0.3013, 0.2905)
O (0.1516, 0.8503, 0.2905)
O (0.3013, 0.1516, 0.7095)
O (0.3333, 0.6667, 0.9044)
O (0.6667, 0.3333, 0.0956)
O (0.6987, 0.8484, 0.2905)
O (0.8484, 0.1497, 0.7095)
O (0.8503, 0.6987, 0.7095)